1.
Simulated X-ray powder pattern of SiClF3 for Cu Kα (λ = 1.5418 Å), from DFT lattice parameters and positions (PBE).

Structural model:
abc: 5.0183 6.1322 7.1172
angles: 90.97 90.04 90.07
Fractional positions:
1 Si 0.0000 0.0000 0.0000
2 Si 0.5000 0.4682 0.5473
3 Cl 0.3890 0.1603 0.4877
4 Cl 0.8906 0.3081 0.0593
5 F 0.3160 0.9826 0.9938
6 F 0.3887 0.5440 0.7468
7 F 0.3935 0.6302 0.3929
8 F 0.8161 0.4851 0.5533
9 F 0.8876 0.9239 0.8008
10 F 0.8935 0.8384 0.1549

Top 6 peaks for 5 to 70 degrees two-theta, sorted by position:
2θ = 18.95°, I = 38; 2θ = 19.27°, I = 29; 2θ = 21.67°, I = 100; 2θ = 25.03°, I = 29; 2θ = 34.29°, I = 28; 2θ = 35.79°, I = 27

***

2.
Simulated X-ray powder pattern of SiClF3 for Cu Kα (λ = 1.5418 Å), from DFT lattice parameters and positions (PBE).

Structural model:
abc: 6.2627 6.2627 6.2627
angles: 71.24 71.24 71.24
Fractional positions:
1 Si 0.1590 0.1590 0.1590
2 Si 0.8410 0.8410 0.8410
3 Cl 0.3026 0.3026 0.3026
4 Cl 0.6974 0.6974 0.6974
5 F 0.1170 0.7656 0.7656
6 F 0.2344 0.2344 0.8830
7 F 0.2344 0.8830 0.2344
8 F 0.7656 0.1170 0.7656
9 F 0.7656 0.7656 0.1170
10 F 0.8830 0.2344 0.2344

Top 6 peaks for 5 to 70 degrees two-theta, sorted by position:
2θ = 15.40°, I = 43; 2θ = 18.98°, I = 49; 2θ = 24.40°, I = 100; 2θ = 29.33°, I = 29; 2θ = 31.10°, I = 82; 2θ = 35.26°, I = 32

***

3.
Simulated X-ray powder pattern of Sm2ClF6 for Cu Kα (λ = 1.5418 Å), from DFT lattice parameters and positions (PBE).

Structural model:
abc: 6.3938 6.3938 6.3938
angles: 141.99 115.82 77.09
Fractional positions:
1 Sm 0.1919 0.1919 0.0000
2 Sm 0.8081 0.8081 0.0000
3 Cl 0.5000 0.5000 0.0000
4 F 0.0174 0.6986 0.3188
5 F 0.1832 0.0000 0.1832
6 F 0.3798 0.6986 0.6812
7 F 0.6202 0.3014 0.3188
8 F 0.8168 0.0000 0.8168
9 F 0.9826 0.3014 0.6812

Top 6 peaks for 5 to 70 degrees two-theta, sorted by position:
2θ = 15.77°, I = 27; 2θ = 17.74°, I = 49; 2θ = 25.08°, I = 100; 2θ = 26.24°, I = 29; 2θ = 29.85°, I = 62; 2θ = 43.82°, I = 59

***

4.
Simulated X-ray powder pattern of SnClF for Cu Kα (λ = 1.5418 Å), from DFT lattice parameters and positions (PBE).

Structural model:
abc: 4.1849 4.2364 7.6644
angles: 89.48 89.74 89.57
Fractional positions:
1 Sn 0.1694 0.1603 0.2025
2 Sn 0.8306 0.8397 0.7975
3 Cl 0.2424 0.2411 0.6593
4 Cl 0.7576 0.7589 0.3407
5 F 0.2241 0.7793 0.0001
6 F 0.7759 0.2207 0.9999

Top 6 peaks for 5 to 70 degrees two-theta, sorted by position:
2θ = 23.21°, I = 87; 2θ = 24.12°, I = 88; 2θ = 30.13°, I = 96; 2θ = 31.34°, I = 91; 2θ = 31.59°, I = 93; 2θ = 38.35°, I = 100

***

5.
Simulated X-ray powder pattern of Tl2SnCl2F2 for Cu Kα (λ = 1.5418 Å), from DFT lattice parameters and positions (PBE).

Structural model:
abc: 9.1169 9.1169 9.1169
angles: 150.12 150.12 42.77
Fractional positions:
1 Tl 0.1428 0.1428 0.0000
2 Tl 0.8572 0.8572 0.0000
3 Sn 0.5000 0.5000 0.0000
4 Cl 0.3265 0.3265 0.0000
5 Cl 0.6735 0.6735 0.0000
6 F 0.0000 0.5000 0.5000
7 F 0.5000 0.0000 0.5000

Top 6 peaks for 5 to 70 degrees two-theta, sorted by position:
2θ = 24.62°, I = 100; 2θ = 26.82°, I = 76; 2θ = 34.26°, I = 24; 2θ = 38.29°, I = 39; 2θ = 41.92°, I = 35; 2θ = 46.05°, I = 40

***

6.
Simulated X-ray powder pattern of Sr3Cl5F for Cu Kα (λ = 1.5418 Å), from DFT lattice parameters and positions (PBE).

Structural model:
abc: 7.9426 7.9426 9.6130
angles: 104.79 104.79 74.75
Fractional positions:
1 Sr 0.0000 0.0000 0.0000
2 Sr 0.0000 0.0000 0.5000
3 Sr 0.2901 0.2901 0.3813
4 Sr 0.3411 0.3411 0.8421
5 Sr 0.6589 0.6589 0.1579
6 Sr 0.7099 0.7099 0.6187
7 Cl 0.0021 0.3750 0.6321
8 Cl 0.2357 0.2357 0.0629
9 Cl 0.2958 0.7042 0.0000
10 Cl 0.3750 0.0021 0.6321
11 Cl 0.4744 0.4744 0.6563
12 Cl 0.5256 0.5256 0.3437
13 Cl 0.6250 0.9979 0.3679
14 Cl 0.7042 0.2958 0.0000
15 Cl 0.7643 0.7643 0.9371
16 Cl 0.9979 0.6250 0.3679
17 F 0.0808 0.0808 0.2907
18 F 0.9192 0.9192 0.7093

Top 6 peaks for 5 to 70 degrees two-theta, sorted by position:
2θ = 18.40°, I = 100; 2θ = 20.38°, I = 61; 2θ = 24.84°, I = 48; 2θ = 35.89°, I = 39; 2θ = 36.37°, I = 49; 2θ = 37.31°, I = 39

***

7.
Simulated X-ray powder pattern of SrCl6F2 for Cu Kα (λ = 1.5418 Å), from DFT lattice parameters and positions (PBE).

Structural model:
abc: 4.1060 4.2174 16.1822
angles: 86.99 87.42 63.43
Fractional positions:
1 Sr 0.0000 0.0000 0.0000
2 Cl 0.1377 0.9310 0.7072
3 Cl 0.2165 0.2803 0.5214
4 Cl 0.2353 0.6515 0.8165
5 Cl 0.7647 0.3485 0.1835
6 Cl 0.7835 0.7197 0.4786
7 Cl 0.8623 0.0690 0.2928
8 F 0.3428 0.3358 0.9537
9 F 0.6572 0.6642 0.0463

Top 6 peaks for 5 to 70 degrees two-theta, sorted by position:
2θ = 5.47°, I = 100; 2θ = 10.95°, I = 38; 2θ = 22.01°, I = 50; 2θ = 24.74°, I = 32; 2θ = 26.12°, I = 25; 2θ = 28.41°, I = 49

***

8.
Simulated X-ray powder pattern of Sr2ClF3 for Cu Kα (λ = 1.5418 Å), from DFT lattice parameters and positions (PBE).

Structural model:
abc: 8.4017 8.4017 10.1815
angles: 101.94 101.94 27.41
Fractional positions:
1 Sr 0.0354 0.0354 0.2862
2 Sr 0.1416 0.1416 0.9592
3 Sr 0.3068 0.3068 0.3611
4 Sr 0.6932 0.6932 0.6389
5 Sr 0.8584 0.8584 0.0408
6 Sr 0.9646 0.9646 0.7138
7 Cl 0.3401 0.3401 0.7895
8 Cl 0.5000 0.5000 0.5000
9 Cl 0.6599 0.6599 0.2105
10 F 0.0000 0.0000 0.0000
11 F 0.1234 0.1234 0.7119
12 F 0.1761 0.1761 0.4671
13 F 0.2835 0.2835 0.1025
14 F 0.4600 0.4600 0.1784
15 F 0.5400 0.5400 0.8216
16 F 0.7165 0.7165 0.8975
17 F 0.8239 0.8239 0.5329
18 F 0.8766 0.8766 0.2881

Top 6 peaks for 5 to 70 degrees two-theta, sorted by position:
2θ = 25.48°, I = 62; 2θ = 25.78°, I = 80; 2θ = 26.86°, I = 75; 2θ = 31.34°, I = 100; 2θ = 34.73°, I = 61; 2θ = 45.57°, I = 75

***

9.
Simulated X-ray powder pattern of TaClF8 for Cu Kα (λ = 1.5418 Å), from DFT lattice parameters and positions (PBE).

Structural model:
abc: 10.1416 6.0107 10.9710
angles: 90.00 90.00 90.00
Fractional positions:
1 Ta 0.0000 0.1188 0.2500
2 Ta 0.0000 0.8812 0.7500
3 Ta 0.5000 0.1188 0.7500
4 Ta 0.5000 0.8812 0.2500
5 Cl 0.2500 0.5000 0.0537
6 Cl 0.2500 0.5000 0.5537
7 Cl 0.7500 0.5000 0.4463
8 Cl 0.7500 0.5000 0.9463
9 F 0.0886 0.1484 0.4023
10 F 0.0886 0.8516 0.9023
11 F 0.1174 0.0981 0.6909
12 F 0.1174 0.9019 0.1909
13 F 0.1206 0.3629 0.1916
14 F 0.1206 0.6371 0.6916
15 F 0.1530 0.3867 0.9532
16 F 0.1530 0.6133 0.4532
17 F 0.3470 0.3867 0.4532
18 F 0.3470 0.6133 0.9532
19 F 0.3794 0.3629 0.6916
20 F 0.3794 0.6371 0.1916
21 F 0.3826 0.0981 0.1909
22 F 0.3826 0.9019 0.6909
23 F 0.4114 0.1484 0.9023
24 F 0.4114 0.8516 0.4023
25 F 0.5886 0.1484 0.5977
26 F 0.5886 0.8516 0.0977
27 F 0.6174 0.0981 0.3091
28 F 0.6174 0.9019 0.8091
29 F 0.6206 0.3629 0.8084
30 F 0.6206 0.6371 0.3084
31 F 0.6530 0.3867 0.0468
32 F 0.6530 0.6133 0.5468
33 F 0.8470 0.3867 0.5468
34 F 0.8470 0.6133 0.0468
35 F 0.8794 0.3629 0.3084
36 F 0.8794 0.6371 0.8084
37 F 0.8826 0.0981 0.8091
38 F 0.8826 0.9019 0.3091
39 F 0.9114 0.1484 0.0977
40 F 0.9114 0.8516 0.5977

Top 6 peaks for 5 to 70 degrees two-theta, sorted by position:
2θ = 16.16°, I = 49; 2θ = 17.49°, I = 35; 2θ = 18.97°, I = 100; 2θ = 21.94°, I = 63; 2θ = 22.95°, I = 63; 2θ = 23.90°, I = 72

***

10.
Simulated X-ray powder pattern of TbCl2F for Cu Kα (λ = 1.5418 Å), from DFT lattice parameters and positions (PBE).

Structural model:
abc: 5.3461 5.3461 6.8152
angles: 105.72 105.72 67.28
Fractional positions:
1 Tb 0.2324 0.7676 0.7500
2 Tb 0.7676 0.2324 0.2500
3 Cl 0.2772 0.3493 0.3890
4 Cl 0.3493 0.2772 0.8890
5 Cl 0.6507 0.7228 0.1110
6 Cl 0.7228 0.6507 0.6110
7 F 0.0000 0.0000 0.0000
8 F 0.0000 0.0000 0.5000

Top 6 peaks for 5 to 70 degrees two-theta, sorted by position:
2θ = 20.77°, I = 100; 2θ = 21.11°, I = 28; 2θ = 24.98°, I = 47; 2θ = 33.97°, I = 28; 2θ = 37.12°, I = 27; 2θ = 42.27°, I = 26

***

11.
Simulated X-ray powder pattern of TcClF4 for Cu Kα (λ = 1.5418 Å), from DFT lattice parameters and positions (PBE).

Structural model:
abc: 9.1185 4.7751 5.6169
angles: 90.00 95.62 90.00
Fractional positions:
1 Tc 0.0000 0.0000 0.0000
2 Tc 0.0000 0.5000 0.5000
3 Cl 0.5000 0.0000 0.0000
4 Cl 0.5000 0.5000 0.5000
5 F 0.0915 0.2501 0.2645
6 F 0.0915 0.2499 0.7645
7 F 0.1668 0.7383 0.5274
8 F 0.1668 0.7617 0.0274
9 F 0.8332 0.2383 0.9726
10 F 0.8332 0.2617 0.4726
11 F 0.9085 0.7501 0.2355
12 F 0.9085 0.7499 0.7355

Top 6 peaks for 5 to 70 degrees two-theta, sorted by position:
2θ = 9.75°, I = 100; 2θ = 19.56°, I = 28; 2θ = 24.52°, I = 35; 2θ = 30.54°, I = 18; 2θ = 32.02°, I = 8; 2θ = 32.55°, I = 17

***

12.
Simulated X-ray powder pattern of TeClF for Cu Kα (λ = 1.5418 Å), from DFT lattice parameters and positions (PBE).

Structural model:
abc: 4.8416 4.8416 3.8368
angles: 93.56 93.56 95.15
Fractional positions:
1 Te 0.0000 0.0000 0.0000
2 Cl 0.2866 0.2866 0.4529
3 F 0.7996 0.7996 0.3691

Top 6 peaks for 5 to 70 degrees two-theta, sorted by position:
2θ = 18.44°, I = 100; 2θ = 24.91°, I = 53; 2θ = 28.84°, I = 35; 2θ = 30.86°, I = 33; 2θ = 43.05°, I = 18; 2θ = 45.93°, I = 19

***

13.
Simulated X-ray powder pattern of TiCl3F4 for Cu Kα (λ = 1.5418 Å), from DFT lattice parameters and positions (PBE).

Structural model:
abc: 3.9376 16.0921 6.0008
angles: 90.00 99.30 90.00
Fractional positions:
1 Ti 0.0000 0.1158 0.0000
2 Ti 0.0000 0.8842 0.5000
3 Cl 0.2283 0.3799 0.7988
4 Cl 0.2283 0.6201 0.2988
5 Cl 0.4959 0.3790 0.4994
6 Cl 0.4959 0.6210 0.9994
7 Cl 0.7636 0.3798 0.2000
8 Cl 0.7636 0.6202 0.7000
9 F 0.0003 0.0048 0.9996
10 F 0.0003 0.9952 0.4996
11 F 0.0669 0.1724 0.2551
12 F 0.0669 0.8276 0.7551
13 F 0.5003 0.1137 0.0001
14 F 0.5003 0.8863 0.5001
15 F 0.9341 0.1724 0.7450
16 F 0.9341 0.8276 0.2450

Top 6 peaks for 5 to 70 degrees two-theta, sorted by position:
2θ = 18.60°, I = 71; 2θ = 22.10°, I = 100; 2θ = 23.55°, I = 36; 2θ = 27.68°, I = 29; 2θ = 31.53°, I = 23; 2θ = 33.96°, I = 24